(1)
Structure and calculated X-ray diffraction stick pattern of LiSbS2 (the PBE geometry in Alexandria; Cu Kα).

The 10 most intense peaks (10° ≤ 2θ ≤ 90°), sorted by position:
2θ/deg, I (rel.)
17.93, 100.0
29.10, 31.5
32.37, 92.8
37.12, 15.2
37.38, 15.0
46.43, 42.2
46.66, 10.7
55.78, 9.9
57.93, 11.0
77.11, 17.0

Structure:
a b c (Å): 5.531 5.531 6.764
angles (deg): 113.89 113.89 90.52
Sites, in units of the cell vectors:
1 Li 0.127 0.873 0.750
2 Li 0.873 0.127 0.250
3 Sb 0.358 0.642 0.250
4 Sb 0.642 0.358 0.750
5 S 0.098 0.383 0.748
6 S 0.383 0.098 0.248
7 S 0.617 0.902 0.752
8 S 0.902 0.617 0.252


(2)
Structure and calculated X-ray diffraction stick pattern of Li7Sb2S2 (the PBE geometry in Alexandria; Cu Kα).

The 10 most intense peaks (10° ≤ 2θ ≤ 90°), sorted by position:
2θ/deg, I (rel.)
13.56, 66.4
20.38, 23.4
24.55, 100.0
24.62, 26.3
27.06, 21.7
27.25, 35.5
31.31, 39.4
37.65, 25.3
41.82, 24.8
43.88, 35.5

Structure:
a b c (Å): 13.179 8.715 7.519
angles (deg): 90.00 90.00 90.00
Sites, in units of the cell vectors:
1 Li 0.044 0.009 0.170
2 Li 0.044 0.491 0.170
3 Li 0.087 0.750 0.755
4 Li 0.112 0.250 0.813
5 Li 0.183 0.750 0.052
6 Li 0.205 0.525 0.580
7 Li 0.205 0.975 0.580
8 Li 0.295 0.025 0.080
9 Li 0.295 0.475 0.080
10 Li 0.317 0.250 0.552
11 Li 0.388 0.750 0.313
12 Li 0.413 0.250 0.255
13 Li 0.456 0.509 0.670
14 Li 0.456 0.991 0.670
15 Li 0.544 0.009 0.330
16 Li 0.544 0.491 0.330
17 Li 0.587 0.750 0.745
18 Li 0.612 0.250 0.687
19 Li 0.683 0.750 0.448
20 Li 0.705 0.525 0.920
21 Li 0.705 0.975 0.920
22 Li 0.795 0.025 0.420
23 Li 0.795 0.475 0.420
24 Li 0.817 0.250 0.948
25 Li 0.888 0.750 0.187
26 Li 0.913 0.250 0.245
27 Li 0.956 0.509 0.830
28 Li 0.956 0.991 0.830
29 Sb 0.086 0.750 0.394
30 Sb 0.100 0.250 0.427
31 Sb 0.400 0.750 0.927
32 Sb 0.414 0.250 0.894
33 Sb 0.586 0.750 0.106
34 Sb 0.600 0.250 0.073
35 Sb 0.900 0.750 0.573
36 Sb 0.914 0.250 0.606
37 S 0.140 0.517 0.897
38 S 0.140 0.983 0.897
39 S 0.360 0.017 0.397
40 S 0.360 0.483 0.397
41 S 0.640 0.517 0.603
42 S 0.640 0.983 0.603
43 S 0.860 0.017 0.103
44 S 0.860 0.483 0.103


(3)
Structure and calculated X-ray diffraction stick pattern of Li7Sb2S (the PBE geometry in Alexandria; Cu Kα).

The 10 most intense peaks (10° ≤ 2θ ≤ 90°), sorted by position:
2θ/deg, I (rel.)
11.50, 44.8
21.51, 52.0
23.44, 87.7
24.62, 100.0
25.74, 43.9
26.55, 25.4
27.29, 68.5
30.81, 26.3
40.18, 50.5
45.30, 26.2

Structure:
a b c (Å): 5.830 13.863 9.287
angles (deg): 90.00 95.40 90.00
Sites, in units of the cell vectors:
1 Li 0.022 0.109 0.148
2 Li 0.022 0.391 0.648
3 Li 0.056 0.239 0.407
4 Li 0.056 0.261 0.907
5 Li 0.264 0.548 0.699
6 Li 0.264 0.952 0.199
7 Li 0.297 0.554 0.021
8 Li 0.297 0.946 0.521
9 Li 0.314 0.150 0.637
10 Li 0.314 0.350 0.137
11 Li 0.448 0.741 0.602
12 Li 0.448 0.759 0.102
13 Li 0.471 0.625 0.328
14 Li 0.471 0.875 0.828
15 Li 0.529 0.125 0.172
16 Li 0.529 0.375 0.672
17 Li 0.552 0.241 0.898
18 Li 0.552 0.259 0.398
19 Li 0.686 0.650 0.863
20 Li 0.686 0.850 0.363
21 Li 0.703 0.054 0.479
22 Li 0.703 0.446 0.979
23 Li 0.736 0.048 0.801
24 Li 0.736 0.452 0.301
25 Li 0.944 0.739 0.093
26 Li 0.944 0.761 0.593
27 Li 0.978 0.609 0.352
28 Li 0.978 0.891 0.852
29 Sb 0.184 0.714 0.847
30 Sb 0.184 0.786 0.347
31 Sb 0.296 0.055 0.914
32 Sb 0.296 0.445 0.414
33 Sb 0.704 0.555 0.586
34 Sb 0.704 0.945 0.086
35 Sb 0.816 0.214 0.653
36 Sb 0.816 0.286 0.153
37 S 0.305 0.098 0.377
38 S 0.305 0.402 0.877
39 S 0.695 0.598 0.123
40 S 0.695 0.902 0.623


(4)
Structure and calculated X-ray diffraction stick pattern of Li3SbS4 (the PBE geometry in Alexandria; Cu Kα).

The 10 most intense peaks (10° ≤ 2θ ≤ 90°), sorted by position:
2θ/deg, I (rel.)
13.11, 25.6
14.29, 28.5
18.36, 100.0
22.07, 18.8
25.60, 15.7
27.58, 51.3
29.38, 65.0
29.72, 21.6
43.30, 19.5
50.08, 17.3

Structure:
a b c (Å): 7.392 7.392 6.909
angles (deg): 90.44 90.44 66.02
Sites, in units of the cell vectors:
1 Li 0.100 0.900 0.500
2 Li 0.222 0.454 0.290
3 Li 0.439 0.700 0.749
4 Li 0.454 0.222 0.790
5 Li 0.700 0.439 0.249
6 Li 0.900 0.100 0.000
7 Sb 0.610 0.922 0.331
8 Sb 0.922 0.610 0.831
9 S 0.009 0.359 0.074
10 S 0.149 0.800 0.160
11 S 0.221 0.547 0.645
12 S 0.359 0.009 0.574
13 S 0.443 0.748 0.104
14 S 0.547 0.221 0.145
15 S 0.748 0.443 0.604
16 S 0.800 0.149 0.660